No. 1
Theoretical XRD peak list of Er3Tm8 for copper Kα, from a PBE-relaxed structure.

Structural model:
```
Er3Tm8
1.0
4.6889 -2.7194 0.0000
4.6889 2.7194 0.0000
-3.1575 0.0000 14.2231
Er Tm
3 8
Cartesian
0.0000 0.0000 0.0000
-0.0137 0.0000 6.1933
6.2340 0.0000 8.0298
-0.0293 0.0000 3.0022
-0.0057 0.0000 9.7191
-0.0163 0.0000 13.0358
3.0995 0.0000 2.8228
3.1208 0.0000 11.4002
6.2366 0.0000 1.1872
6.2259 0.0000 4.5039
6.2496 0.0000 11.2209
```

The 8 most intense peaks (10 to 80 degrees two-theta), in order of falling intensity:
- 2θ = 33.05°, I = 100
- 2θ = 33.30°, I = 95
- 2θ = 32.94°, I = 51
- 2θ = 29.87°, I = 44
- 2θ = 59.19°, I = 25
- 2θ = 47.53°, I = 23
- 2θ = 59.07°, I = 22
- 2θ = 58.89°, I = 19

No. 2
Theoretical XRD peak list of CuRh for copper Kα, from a PBE-relaxed structure.

Structural model:
```
CuRh
1.0
7.1487 0.0000 0.0000
0.0000 7.1487 0.0000
0.0000 0.0000 4.4435
Cu Rh
8 8
Cartesian
0.5224 1.7321 0.0000
0.5224 5.4166 2.2218
1.7321 0.5224 2.2218
1.7321 6.6262 0.0000
5.4166 0.5224 0.0000
5.4166 6.6262 2.2218
6.6262 1.7321 2.2218
6.6262 5.4166 0.0000
1.7196 3.0109 2.2218
1.7196 4.1377 0.0000
3.0109 1.7196 0.0000
3.0109 5.4291 2.2218
4.1377 1.7196 2.2218
4.1377 5.4291 0.0000
5.4291 3.0109 0.0000
5.4291 4.1377 2.2218
```

The 8 most intense peaks (10 to 80 degrees two-theta), in order of falling intensity:
- 2θ = 44.99°, I = 100
- 2θ = 40.61°, I = 32
- 2θ = 35.52°, I = 31
- 2θ = 76.96°, I = 19
- 2θ = 55.03°, I = 17
- 2θ = 24.91°, I = 11
- 2θ = 57.67°, I = 9
- 2θ = 72.90°, I = 9

No. 3
Theoretical XRD peak list of BaPmIn2 for copper Kα, from a PBE-relaxed structure.

Structural model:
```
BaPmIn2
1.0
4.0338 0.0000 0.0000
0.0000 4.0338 0.0000
0.0000 0.0000 8.2125
Ba Pm In
1 1 2
Cartesian
0.0000 0.0000 0.0000
0.0000 0.0000 4.1062
2.0169 2.0169 2.3848
2.0169 2.0169 5.8276
```

The 8 most intense peaks (10 to 80 degrees two-theta), in order of falling intensity:
- 2θ = 31.08°, I = 100
- 2θ = 31.36°, I = 55
- 2θ = 55.65°, I = 38
- 2θ = 44.94°, I = 20
- 2θ = 55.12°, I = 13
- 2θ = 74.36°, I = 9
- 2θ = 64.80°, I = 8
- 2θ = 74.21°, I = 8

No. 4
Theoretical XRD peak list of MgTlBr2Cl for copper Kα, from a PBE-relaxed structure.

Structural model:
```
MgTlBr2Cl
1.0
-3.8004 3.8004 4.9752
3.8004 -3.8004 4.9752
3.8004 3.8004 -4.9752
Mg Tl Br Cl
2 2 4 2
Cartesian
0.0000 0.0000 0.0000
0.0000 0.0000 4.9752
3.8004 0.0000 2.4876
0.0000 3.8004 2.4876
5.4521 1.6517 0.0000
1.6517 2.1488 0.0000
2.1488 1.6517 4.9752
-1.6517 2.1488 4.9752
0.0000 0.0000 2.4876
0.0000 0.0000 7.4629
```

The 8 most intense peaks (10 to 80 degrees two-theta), in order of falling intensity:
- 2θ = 29.58°, I = 100
- 2θ = 33.34°, I = 45
- 2θ = 24.38°, I = 40
- 2θ = 16.49°, I = 29
- 2θ = 49.96°, I = 28
- 2θ = 41.73°, I = 27
- 2θ = 57.28°, I = 23
- 2θ = 36.11°, I = 20